For K6MgSb2S8, a structure optimized by DFT (GGA-PBE) gives the computed XRD peak list in this record (Cu Kα (weighted mean of Kα1 and Kα2)).

Atomic structure:
```
data_K6MgSb2S8
_cell_length_a 12.1682
_cell_length_b 11.4570
_cell_length_c 7.9712
_cell_angle_alpha 90.00
_cell_angle_beta 97.54
_cell_angle_gamma 90.00
_symmetry_space_group_name_H-M 'C 1 m 1'
_symmetry_Int_Tables_number 8
_symmetry_space_group_name_Hall 'C -2y'
loop_
_atom_site_label
_atom_site_type_symbol
_atom_site_fract_x
_atom_site_fract_y
_atom_site_fract_z
_atom_site_occupancy
K1 K 0.0000 0.0000 0.0000 1
K2 K 0.1346 0.5000 0.5128 1
K3 K 0.2856 0.2578 0.0948 1
K4 K 0.3857 0.2401 0.5654 1
Mg1 Mg 0.2442 0.0000 0.8493 1
Sb1 Sb 0.0615 0.5000 0.0190 1
Sb2 Sb 0.0926 0.0000 0.4722 1
S1 S 0.0489 0.3299 0.1821 1
S2 S 0.1372 0.1609 0.6860 1
S3 S 0.2329 0.5000 0.9039 1
S4 S 0.2456 0.0000 0.1444 1
S5 S 0.3879 0.5000 0.4170 1
S6 S 0.4337 0.0000 0.7601 1
```

Peak list (10 most intense, 2θ = 10–90°, in order of rising 2θ)
Position (°2θ)  d/Å  Rel. int.  hkl
14.74  6.011  100  1 1 -1
15.47  5.728  41  0 2 0
21.39  4.154  50  2 2 0
27.34  3.262  40  1 3 1
27.42  3.253  39  0 2 2
29.77  3.001  36  2 2 -2
30.30  2.949  43  4 0 -1
31.23  2.864  37  0 4 0
32.66  2.742  34  2 2 2
38.82  2.320  34  0 4 2


For CeGe4Rh6, a structure optimized by DFT (GGA-PBE) gives the computed XRD peak list in this record (Cu Kα (weighted mean of Kα1 and Kα2)).

Atomic structure:
```
data_CeGe4Rh6
_cell_length_a 7.2283
_cell_length_b 7.2283
_cell_length_c 3.8862
_cell_angle_alpha 90.00
_cell_angle_beta 90.00
_cell_angle_gamma 120.00
_symmetry_space_group_name_H-M 'P -6 m 2'
_symmetry_Int_Tables_number 187
_symmetry_space_group_name_Hall 'P -6 2'
loop_
_atom_site_label
_atom_site_type_symbol
_atom_site_fract_x
_atom_site_fract_y
_atom_site_fract_z
_atom_site_occupancy
Ce1 Ce 0.0000 0.0000 0.0000 1
Ge1 Ge 0.1982 0.3964 0.5000 1
Ge2 Ge 0.6667 0.3333 0.0000 1
Rh1 Rh 0.0664 0.5332 0.0000 1
Rh2 Rh 0.3990 0.1995 0.5000 1
```

Peak list (10 most intense, 2θ = 10–90°, in order of rising 2θ)
Position (°2θ)  d/Å  Rel. int.  hkl
33.87  2.647  23  1 1 1
36.87  2.438  100  2 0 1
38.03  2.366  33  2 1 0
44.85  2.021  36  2 1 1
46.75  1.943  26  0 0 2
49.59  1.838  14  3 0 1
50.51  1.807  25  2 2 0
61.78  1.502  16  2 1 2
71.26  1.323  18  2 2 2
80.62  1.192  12  5 0 1


For TaTlCl6, a structure optimized by DFT (GGA-PBE) gives the computed XRD peak list in this record (Cu Kα (weighted mean of Kα1 and Kα2)).

Atomic structure:
```
data_TaTlCl6
_cell_length_a 12.3283
_cell_length_b 6.4900
_cell_length_c 12.5199
_cell_angle_alpha 90.00
_cell_angle_beta 102.00
_cell_angle_gamma 90.00
_symmetry_space_group_name_H-M 'C 1 2/c 1'
_symmetry_Int_Tables_number 15
_symmetry_space_group_name_Hall '-C 2yc'
loop_
_atom_site_label
_atom_site_type_symbol
_atom_site_fract_x
_atom_site_fract_y
_atom_site_fract_z
_atom_site_occupancy
Ta1 Ta 0.2500 0.2500 0.0000 1
Tl1 Tl 0.0000 0.1185 0.2500 1
Cl1 Cl 0.0816 0.3813 0.8966 1
Cl2 Cl 0.1550 0.0491 0.5402 1
Cl3 Cl 0.2142 0.4151 0.1590 1
```

Peak list (10 most intense, 2θ = 10–90°, in order of rising 2θ)
Position (°2θ)  d/Å  Rel. int.  hkl
17.76  4.994  100  1 1 1
18.38  4.827  62  2 0 -2
22.75  3.909  38  2 0 2
25.54  3.488  40  1 1 -3
25.80  3.453  33  3 1 -1
31.44  2.845  36  2 2 -1
31.77  2.817  26  1 1 -4
32.17  2.782  26  3 1 2
37.21  2.417  23  4 0 -4
41.35  2.183  31  3 1 -5